Structure and calculated XRD peak list of LaDy3Er2Se6 (a PBE-relaxed structure; Cu Kα).
Kinematic intensities with the Lorentz-polarization factor, no thermal factor.

Structural model:
Unit cell a=7.1184 b=7.1184 c=7.1037 alpha=99.61 beta=99.61 gamma=120.26
Element x y z (fractional)
La (0.0000, 0.0000, 0.0000)
Dy (0.1587, 0.8413, 0.5000)
Dy (0.5000, 0.5000, 0.5000)
Dy (0.8413, 0.1587, 0.5000)
Er (0.3332, 0.6668, 0.0000)
Er (0.6668, 0.3332, 0.0000)
Se (0.0851, 0.4326, 0.2559)
Se (0.2646, 0.2646, 0.7516)
Se (0.4326, 0.0851, 0.2559)
Se (0.5674, 0.9149, 0.7441)
Se (0.7354, 0.7354, 0.2484)
Se (0.9149, 0.5674, 0.7441)

Peak list (10 most intense, 2θ = 10–90°, most intense first)
2θ/deg	d_spacing	intensity
30.82	2.901	100.0
44.16	2.051	49.2
54.70	1.678	12.7
44.28	2.046	12.2
44.01	2.058	12.2
64.22	1.450	11.8
72.88	1.298	11.0
72.97	1.296	10.7
26.66	3.343	10.4
26.56	3.356	10.4



Structure and calculated XRD peak list of Tm3ThSc4 (a PBE-relaxed structure; Cu Kα).
Kinematic intensities with the Lorentz-polarization factor, no thermal factor.

Structural model:
Unit cell a=10.8297 b=6.8778 c=5.9454 alpha=90.00 beta=90.00 gamma=90.00
Element x y z (fractional)
Tm (0.0000, 0.1305, 0.0000)
Tm (0.2488, 0.1317, 0.3466)
Tm (0.2512, 0.8683, 0.8466)
Tm (0.5000, 0.8695, 0.5000)
Tm (0.7488, 0.8683, 0.8466)
Tm (0.7512, 0.1317, 0.3466)
Th (0.0000, 0.8638, 0.5040)
Th (0.5000, 0.1362, 0.0040)
Sc (0.0000, 0.3823, 0.5080)
Sc (0.0000, 0.6189, 0.0136)
Sc (0.2486, 0.3805, 0.8438)
Sc (0.2514, 0.6195, 0.3438)
Sc (0.5000, 0.3811, 0.5136)
Sc (0.5000, 0.6177, 0.0080)
Sc (0.7486, 0.6195, 0.3438)
Sc (0.7514, 0.3805, 0.8438)

Peak list (10 most intense, 2θ = 10–90°, most intense first)
2θ/deg	d_spacing	intensity
34.39	2.608	100.0
12.87	6.878	33.3
25.75	3.460	30.8
33.09	2.707	24.8
30.04	2.975	24.2
59.94	1.543	19.9
45.29	2.002	15.6
65.02	1.434	15.2
64.23	1.450	14.1
53.36	1.717	12.4



Structure and calculated XRD peak list of Tl4CdBi2Pb2 (a PBE-relaxed structure; Cu Kα).
Kinematic intensities with the Lorentz-polarization factor, no thermal factor.

Structural model:
Unit cell a=6.8507 b=6.8856 c=7.3929 alpha=71.10 beta=86.03 gamma=64.14
Element x y z (fractional)
Tl (0.1422, 0.2056, 0.2524)
Tl (0.2065, 0.7119, 0.1317)
Tl (0.7935, 0.2881, 0.8683)
Tl (0.8578, 0.7944, 0.7476)
Cd (0.5000, 0.0000, 0.0000)
Bi (0.3553, 0.7885, 0.6657)
Bi (0.6447, 0.2115, 0.3343)
Pb (0.2730, 0.3714, 0.6210)
Pb (0.7270, 0.6286, 0.3790)

Peak list (10 most intense, 2θ = 10–90°, most intense first)
2θ/deg	d_spacing	intensity
30.54	2.927	100.0
31.19	2.868	94.4
32.88	2.724	52.5
30.81	2.903	52.2
33.93	2.642	36.3
37.03	2.428	34.6
28.36	3.147	29.7
29.08	3.071	27.6
61.60	1.506	24.3
31.06	2.880	22.8



Structure and calculated XRD peak list of KTa4Te8 (a PBE-relaxed structure; Cu Kα).
Kinematic intensities with the Lorentz-polarization factor, no thermal factor.

Structural model:
Unit cell a=9.6833 b=9.6833 c=13.4696 alpha=130.38 beta=130.38 gamma=22.15
Element x y z (fractional)
K (0.0000, 0.0000, 0.0000)
Ta (0.1587, 0.1587, 0.4763)
Ta (0.3154, 0.3154, 0.1297)
Ta (0.6846, 0.6846, 0.8703)
Ta (0.8413, 0.8413, 0.5237)
Te (0.0382, 0.0382, 0.7416)
Te (0.3136, 0.3136, 0.9219)
Te (0.3491, 0.3491, 0.6887)
Te (0.3728, 0.3728, 0.4011)
Te (0.6272, 0.6272, 0.5989)
Te (0.6509, 0.6509, 0.3113)
Te (0.6864, 0.6864, 0.0781)
Te (0.9618, 0.9618, 0.2584)

Peak list (10 most intense, 2θ = 10–90°, most intense first)
2θ/deg	d_spacing	intensity
13.17	6.721	100.0
30.50	2.931	95.3
36.88	2.437	92.9
47.23	1.925	84.0
31.25	2.862	79.1
12.40	7.138	77.2
28.30	3.153	67.0
35.80	2.508	58.6
36.26	2.477	53.5
48.96	1.860	52.1



Structure and calculated XRD peak list of DyReF (a PBE-relaxed structure; Cu Kα).
Kinematic intensities with the Lorentz-polarization factor, no thermal factor.

Structural model:
Unit cell a=3.1833 b=3.1833 c=9.4353 alpha=90.00 beta=90.00 gamma=90.00
Element x y z (fractional)
Dy (0.2500, 0.2500, 0.1974)
Dy (0.7500, 0.7500, 0.8026)
Re (0.2500, 0.2500, 0.5693)
Re (0.7500, 0.7500, 0.4307)
F (0.2500, 0.2500, 0.9317)
F (0.7500, 0.7500, 0.0683)

Peak list (10 most intense, 2θ = 10–90°, most intense first)
2θ/deg	d_spacing	intensity
40.31	2.237	100.0
33.97	2.639	99.3
40.06	2.251	83.5
72.94	1.297	34.4
57.94	1.592	28.2
68.89	1.363	26.8
28.38	3.145	24.6
49.82	1.830	21.3
64.43	1.446	20.6
66.29	1.410	15.4



Structure and calculated XRD peak list of La6Tl3Hg (a PBE-relaxed structure; Cu Kα).
Kinematic intensities with the Lorentz-polarization factor, no thermal factor.

Structural model:
Unit cell a=9.8117 b=5.5498 c=12.2468 alpha=90.00 beta=106.78 gamma=90.00
Element x y z (fractional)
La (0.0327, 0.2500, 0.4104)
La (0.1597, 0.7500, 0.1780)
La (0.2553, 0.2500, 0.0016)
La (0.3497, 0.7500, 0.8130)
La (0.3771, 0.2500, 0.3539)
La (0.4123, 0.2500, 0.6161)
La (0.5877, 0.7500, 0.3839)
La (0.6229, 0.7500, 0.6461)
La (0.6503, 0.2500, 0.1870)
La (0.7447, 0.7500, 0.9984)
La (0.8403, 0.2500, 0.8220)
La (0.9673, 0.7500, 0.5896)
Tl (0.0349, 0.7500, 0.8831)
Tl (0.1304, 0.2500, 0.7175)
Tl (0.2661, 0.7500, 0.4729)
Tl (0.7339, 0.2500, 0.5271)
Tl (0.8696, 0.7500, 0.2825)
Tl (0.9651, 0.2500, 0.1169)
Hg (0.4576, 0.7500, 0.1064)
Hg (0.5424, 0.2500, 0.8936)

Peak list (10 most intense, 2θ = 10–90°, most intense first)
2θ/deg	d_spacing	intensity
31.76	2.817	100.0
31.63	2.829	97.4
32.26	2.775	55.4
30.95	2.889	41.6
45.31	2.001	29.3
57.21	1.610	19.0
57.13	1.612	18.5
56.93	1.618	17.0
45.57	1.991	16.6
35.01	2.563	13.7



Structure and calculated XRD peak list of TaAlMo (a PBE-relaxed structure; Cu Kα).
Kinematic intensities with the Lorentz-polarization factor, no thermal factor.

Structural model:
Unit cell a=5.1952 b=5.1952 c=5.1952 alpha=120.47 beta=120.20 gamma=89.43
Element x y z (fractional)
Ta (0.3742, 0.1242, 0.2500)
Ta (0.6258, 0.8758, 0.7500)
Al (0.0000, 0.5000, 0.5000)
Al (0.5000, 0.5000, 0.0000)
Mo (0.0000, 0.0000, 0.5000)
Mo (0.0000, 0.5000, 0.0000)

Peak list (10 most intense, 2θ = 10–90°, most intense first)
2θ/deg	d_spacing	intensity
40.92	2.205	100.0
34.53	2.597	69.1
40.59	2.223	51.4
21.00	4.230	38.7
34.64	2.590	33.5
72.82	1.299	22.7
66.36	1.409	19.8
61.79	1.501	15.0
62.01	1.497	12.9
62.19	1.493	12.8



Structure and calculated XRD peak list of Ce8InRu2 (a PBE-relaxed structure; Cu Kα).
Kinematic intensities with the Lorentz-polarization factor, no thermal factor.

Structural model:
Unit cell a=7.8523 b=7.8523 c=5.3126 alpha=97.38 beta=97.38 gamma=115.27
Element x y z (fractional)
Ce (0.0808, 0.0808, 0.8079)
Ce (0.1904, 0.4050, 0.4397)
Ce (0.2454, 0.7546, 0.0000)
Ce (0.4050, 0.1904, 0.4397)
Ce (0.5950, 0.8096, 0.5603)
Ce (0.7546, 0.2454, 0.0000)
Ce (0.8096, 0.5950, 0.5603)
Ce (0.9192, 0.9192, 0.1921)
In (0.5000, 0.5000, 0.0000)
Ru (0.2117, 0.7883, 0.5000)
Ru (0.7883, 0.2117, 0.5000)

Peak list (10 most intense, 2θ = 10–90°, most intense first)
2θ/deg	d_spacing	intensity
34.85	2.575	100.0
32.09	2.789	60.1
34.04	2.633	49.8
31.04	2.881	46.8
34.54	2.597	35.1
54.01	1.698	21.7
38.54	2.336	21.7
39.01	2.309	20.2
35.58	2.523	17.3
44.36	2.042	15.8



Structure and calculated XRD peak list of Mg16Al12Bi (a PBE-relaxed structure; Cu Kα).
Kinematic intensities with the Lorentz-polarization factor, no thermal factor.

Structural model:
Unit cell a=9.1749 b=9.1749 c=9.1749 alpha=109.47 beta=109.47 gamma=109.47
Element x y z (fractional)
Mg (0.0000, 0.0000, 0.3498)
Mg (0.0000, 0.3154, 0.5980)
Mg (0.0000, 0.3498, 0.0000)
Mg (0.0000, 0.5980, 0.3154)
Mg (0.2827, 0.6846, 0.6846)
Mg (0.3154, 0.0000, 0.5980)
Mg (0.3154, 0.5980, 0.0000)
Mg (0.3498, 0.0000, 0.0000)
Mg (0.4020, 0.4020, 0.7173)
Mg (0.4020, 0.7173, 0.4020)
Mg (0.5980, 0.0000, 0.3154)
Mg (0.5980, 0.3154, 0.0000)
Mg (0.6502, 0.6502, 0.6502)
Mg (0.6846, 0.2827, 0.6846)
Mg (0.6846, 0.6846, 0.2827)
Mg (0.7173, 0.4020, 0.4020)
Al (0.0000, 0.6263, 0.8117)
Al (0.0000, 0.8117, 0.6263)
Al (0.1854, 0.3737, 0.3737)
Al (0.1883, 0.1883, 0.8146)
Al (0.1883, 0.8146, 0.1883)
Al (0.3737, 0.1854, 0.3737)
Al (0.3737, 0.3737, 0.1854)
Al (0.6263, 0.0000, 0.8117)
Al (0.6263, 0.8117, 0.0000)
Al (0.8117, 0.0000, 0.6263)
Al (0.8117, 0.6263, 0.0000)
Al (0.8146, 0.1883, 0.1883)
Bi (0.0000, 0.0000, 0.0000)

Peak list (10 most intense, 2θ = 10–90°, most intense first)
2θ/deg	d_spacing	intensity
35.96	2.497	100.0
11.81	7.491	63.0
31.60	2.831	35.1
20.53	4.325	31.8
64.65	1.442	29.0
39.91	2.259	20.9
26.61	3.350	20.3
61.93	1.498	19.6
41.77	2.163	18.8
46.98	1.934	14.1



Structure and calculated XRD peak list of TmBe2Pt6 (a PBE-relaxed structure; Cu Kα).
Kinematic intensities with the Lorentz-polarization factor, no thermal factor.

Structural model:
Unit cell a=7.6382 b=7.6382 c=7.6382 alpha=60.00 beta=60.00 gamma=60.00
Element x y z (fractional)
Tm (0.1250, 0.1250, 0.1250)
Tm (0.8750, 0.8750, 0.8750)
Be (0.0000, 0.5000, 0.5000)
Be (0.5000, 0.0000, 0.5000)
Be (0.5000, 0.5000, 0.0000)
Be (0.5000, 0.5000, 0.5000)
Pt (0.1331, 0.1331, 0.6169)
Pt (0.1331, 0.6169, 0.1331)
Pt (0.1331, 0.6169, 0.6169)
Pt (0.3831, 0.3831, 0.8669)
Pt (0.3831, 0.8669, 0.3831)
Pt (0.3831, 0.8669, 0.8669)
Pt (0.6169, 0.1331, 0.1331)
Pt (0.6169, 0.1331, 0.6169)
Pt (0.6169, 0.6169, 0.1331)
Pt (0.8669, 0.3831, 0.3831)
Pt (0.8669, 0.3831, 0.8669)
Pt (0.8669, 0.8669, 0.3831)

Peak list (10 most intense, 2θ = 10–90°, most intense first)
2θ/deg	d_spacing	intensity
33.17	2.701	100.0
47.62	1.910	75.7
79.34	1.208	32.3
88.74	1.102	26.0
59.27	1.559	25.3
23.29	3.819	12.8
69.63	1.350	12.0
27.38	3.257	7.6
40.93	2.205	6.5
36.25	2.478	6.2



Structure and calculated XRD peak list of Pr3GaTe2 (a PBE-relaxed structure; Cu Kα).
Kinematic intensities with the Lorentz-polarization factor, no thermal factor.

Structural model:
Unit cell a=14.7649 b=14.0774 c=7.7940 alpha=79.25 beta=69.51 gamma=31.24
Element x y z (fractional)
Pr (0.0402, 0.5381, 0.1960)
Pr (0.1094, 0.6406, 0.6406)
Pr (0.1960, 0.7258, 0.0402)
Pr (0.2742, 0.8040, 0.4619)
Pr (0.3594, 0.8906, 0.8906)
Pr (0.4619, 0.9598, 0.2742)
Pr (0.5381, 0.0402, 0.7258)
Pr (0.6406, 0.1094, 0.1094)
Pr (0.7258, 0.1960, 0.5381)
Pr (0.8040, 0.2742, 0.9598)
Pr (0.8906, 0.3594, 0.3594)
Pr (0.9598, 0.4619, 0.8040)
Ga (0.0414, 0.0414, 0.2086)
Ga (0.2086, 0.2086, 0.0414)
Ga (0.7914, 0.7914, 0.9586)
Ga (0.9586, 0.9586, 0.7914)
Te (0.1277, 0.1277, 0.6223)
Te (0.2939, 0.2939, 0.4561)
Te (0.3777, 0.3777, 0.8723)
Te (0.4561, 0.4561, 0.2939)
Te (0.5439, 0.5439, 0.7061)
Te (0.6223, 0.6223, 0.1277)
Te (0.7061, 0.7061, 0.5439)
Te (0.8723, 0.8723, 0.3777)

Peak list (10 most intense, 2θ = 10–90°, most intense first)
2θ/deg	d_spacing	intensity
28.14	3.171	100.0
40.21	2.243	50.3
49.49	1.842	13.5
50.12	1.820	13.2
39.86	2.262	12.7
40.60	2.222	12.3
65.82	1.419	11.3
65.87	1.418	11.0
58.21	1.585	8.1
72.61	1.302	7.9



Structure and calculated XRD peak list of Tm8Tc2Ni (a PBE-relaxed structure; Cu Kα).
Kinematic intensities with the Lorentz-polarization factor, no thermal factor.

Structural model:
Unit cell a=7.5027 b=7.5027 c=5.7652 alpha=101.34 beta=101.34 gamma=112.84
Element x y z (fractional)
Tm (0.0000, 0.0000, 0.0000)
Tm (0.0134, 0.2764, 0.5931)
Tm (0.1490, 0.5653, 0.1913)
Tm (0.2764, 0.0134, 0.5931)
Tm (0.4370, 0.6959, 0.7995)
Tm (0.5653, 0.1490, 0.1913)
Tm (0.6959, 0.4370, 0.7995)
Tm (0.7276, 0.7276, 0.3919)
Tc (0.0517, 0.6693, 0.7065)
Tc (0.6693, 0.0517, 0.7065)
Ni (0.3689, 0.3689, 0.0391)

Peak list (10 most intense, 2θ = 10–90°, most intense first)
2θ/deg	d_spacing	intensity
31.72	2.821	100.0
33.13	2.704	88.4
33.45	2.679	87.6
39.71	2.270	80.9
31.86	2.809	73.9
32.90	2.722	73.2
36.95	2.433	66.6
36.31	2.474	47.2
27.12	3.288	39.0
36.13	2.486	37.6